Simulated powder diffraction line list
Compound: Li6MnFe2O6
Radiation: Cu Kα (weighted mean of Kα1 and Kα2)
Structure: a DFT-relaxed cell (GGA+U, the Materials Project)
Lines closer than 0.1° are merged.

Largest 12 diffraction maxima, by angle, 10 to 90 degrees two-theta:
| 2θ/deg | I_rel | h k l |
| --- | --- | --- |
| 16.77 | 100.0 | 0 1 1 |
| 31.82 | 21.7 | 1 -1 2 |
| 35.86 | 74.9 | 1 0 3 |
| 36.49 | 14.4 | 1 1 -2 |
| 38.07 | 28.4 | 0 2 -4 |
| 46.68 | 32.7 | -1 2 5 |
| 47.23 | 10.4 | 0 1 7 |
| 47.69 | 16.5 | 1 2 -1 |
| 49.22 | 15.5 | 0 3 -3 |
| 55.76 | 12.8 | -2 1 1 |
| 58.52 | 21.2 | 1 1 -8 |
| 62.79 | 13.0 | 1 3 0 |

```
data_Li6MnFe2O6
_chemical_formula_sum 'Li12 Mn2 Fe4 O12'
_cell_length_a 3.2972
_cell_length_b 6.0715
_cell_length_c 14.7624
_cell_angle_alpha 92.21
_cell_angle_beta 96.36
_cell_angle_gamma 105.72
_symmetry_space_group_name_H-M 'P 1'
_symmetry_Int_Tables_number 1
loop_
_symmetry_equiv_pos_as_xyz
'x,y,z'
loop_
_atom_site_label
_atom_site_type_symbol
_atom_site_fract_x
_atom_site_fract_y
_atom_site_fract_z
Li1 Li 0.0655 0.3862 0.2453
Li2 Li 0.0656 0.0572 0.5768
Li3 Li 0.0675 0.7210 0.9123
Li4 Li 0.4314 0.7786 0.5873
Li5 Li 0.4327 0.1113 0.2542
Li6 Li 0.4329 0.4420 0.9226
Li7 Li 0.5671 0.5580 0.0774
Li8 Li 0.5673 0.8887 0.7458
Li9 Li 0.5686 0.2214 0.4127
Li10 Li 0.9325 0.2790 0.0877
Li11 Li 0.9344 0.9428 0.4232
Li12 Li 0.9345 0.6138 0.7547
Mn1 Mn 0.2504 0.2509 0.7492
Mn2 Mn 0.7496 0.7491 0.2508
Fe1 Fe 0.2494 0.5792 0.4163
Fe2 Fe 0.2514 0.9213 0.0832
Fe3 Fe 0.7486 0.0787 0.9168
Fe4 Fe 0.7506 0.4208 0.5837
O1 O 0.1266 0.9350 0.8178
O2 O 0.1282 0.6097 0.1490
O3 O 0.1287 0.2738 0.4827
O4 O 0.3709 0.2262 0.0171
O5 O 0.3726 0.8912 0.3513
O6 O 0.3769 0.5683 0.6828
O7 O 0.6231 0.4317 0.3172
O8 O 0.6274 0.1088 0.6487
O9 O 0.6291 0.7738 0.9829
O10 O 0.8713 0.7262 0.5173
O11 O 0.8718 0.3903 0.8510
O12 O 0.8734 0.0649 0.1822
```